Structure and calculated powder diffractogram of RbGaSe2O8 (DFT lattice parameters and positions (PBE); Cu Kα (λ = 1.5418 Å)).

Structural model:
Cell lengths 5.1496, 5.1496, 9.0722 Å; angles 90.00, 90.00, 120.00 degrees
Space group P321 (No. 150)
Asymmetric unit:
Rb 0.0000 0.0000 0.0000 [1 per cell]
Ga 0.0000 0.0000 0.5000 [1 per cell]
Se 0.3333 0.6667 0.6999 [2 per cell]
O 0.0682 0.3263 0.6416 [6 per cell]
O 0.3333 0.6667 0.8811 [2 per cell]

Principal peaks in the range 10 to 80 degrees two-theta, by angle:
- hkl 1 0 0, 2θ = 19.91°, I 13
- hkl 1 0 1, 2θ = 22.21°, I 96
- hkl 0 1 2, 2θ = 28.06°, I 100
- hkl 1 1 0, 2θ = 34.84°, I 53
- hkl 1 0 4, 2θ = 44.83°, I 20
- hkl 2 0 2, 2θ = 45.32°, I 26
- hkl 1 1 4, 2θ = 53.87°, I 14
- hkl 2 1 1, 2θ = 55.44°, I 13
- hkl 1 2 2, 2θ = 58.41°, I 25
- hkl 3 0 0, 2θ = 62.48°, I 14

---

Structure and calculated powder diffractogram of Na2MgAlF7 (DFT lattice parameters and positions (PBE); Cu Kα (λ = 1.5418 Å)).

Structural model:
Cell lengths 10.1395, 7.4472, 7.1591 Å; angles 90.00, 90.00, 90.00 degrees
Space group Ima2 (No. 46)
Asymmetric unit:
Na 0.0000 0.0000 0.0000 [4 per cell]
Na 0.2500 0.2229 0.7439 [4 per cell]
Mg 0.2500 0.7481 0.7396 [4 per cell]
Al 0.0000 0.0000 0.4897 [4 per cell]
F 0.0862 0.2197 0.4907 [8 per cell]
F 0.1115 0.5710 0.8057 [8 per cell]
F 0.1130 0.5692 0.1742 [8 per cell]
F 0.2500 0.6374 0.4888 [4 per cell]

Principal peaks in the range 10 to 80 degrees two-theta, by angle:
- hkl 0 1 1, 2θ = 17.18°, I 35
- hkl 2 2 0, 2θ = 29.77°, I 98
- hkl 2 0 2, 2θ = 30.57°, I 86
- hkl 1 3 0, 2θ = 37.29°, I 31
- hkl 3 1 2, 2θ = 38.58°, I 53
- hkl 0 1 3, 2θ = 39.64°, I 40
- hkl 3 3 0, 2θ = 45.33°, I 26
- hkl 4 2 2, 2θ = 50.47°, I 100
- hkl 2 4 2, 2θ = 58.80°, I 45
- hkl 6 2 0, 2θ = 60.17°, I 38